This entry pairs a crystal structure of Dy2Ho4Er3 with its computed powder X-ray diffraction pattern. Radiation: λ = 1.5418 Å (Cu Kα). Structure: a structure optimized by DFT (GGA-PBE).
Lines closer than 0.1° are merged.

Crystal structure
Lattice parameters (Å, degrees): 15.957 11.468 6.079 90.00 95.79 90.00
Space group C2/c (No. 15)
Asymmetric unit:
Dy1 0.121 0.143 0.321 (multiplicity 8)
Ho1 0.046 0.358 0.013 (multiplicity 8)
Ho2 0.214 0.142 0.847 (multiplicity 8)
Er1 0.000 0.096 0.750 (multiplicity 4)
Er2 0.166 0.403 0.586 (multiplicity 8)

Top 10 peaks for 2θ = 10–90°, by intensity:
- 32.23 deg, I = 1000, hkl 4 2 1
- 30.54 deg, I = 631, hkl 1 1 -2
- 31.46 deg, I = 603, hkl 5 1 -1
- 31.20 deg, I = 460, hkl 0 4 0
- 37.91 deg, I = 338, hkl 1 3 -2
- 38.67 deg, I = 267, hkl 5 3 -1
- 56.87 deg, I = 214, hkl 6 2 -3
- 58.98 deg, I = 142, hkl 2 6 2
- 50.68 deg, I = 142, hkl 3 1 3
- 28.81 deg, I = 137, hkl 3 3 0

This entry pairs a crystal structure of La2Y5TmTh with its computed powder X-ray diffraction pattern. Radiation: λ = 1.5418 Å (Cu Kα). Structure: a structure optimized by DFT (GGA-PBE).
Lines closer than 0.1° are merged.

Crystal structure
Lattice parameters (Å, degrees): 8.721 8.721 15.704 90.00 90.00 90.00
Space group I4/mcm (No. 140)
Asymmetric unit:
La1 0.117 0.383 0.000 (multiplicity 8)
Y1 0.000 0.000 0.000 (multiplicity 4)
Y2 0.216 0.284 0.358 (multiplicity 16)
Tm1 0.000 0.500 0.250 (multiplicity 4)
Th1 0.000 0.000 0.250 (multiplicity 4)

Top 10 peaks for 2θ = 10–90°, by intensity:
- 30.64 deg, I = 1000, hkl 2 0 4
- 28.96 deg, I = 543, hkl 2 2 0
- 28.54 deg, I = 358, hkl 2 1 3
- 52.39 deg, I = 286, hkl 4 2 4
- 43.07 deg, I = 279, hkl 4 0 2
- 31.16 deg, I = 186, hkl 2 2 2
- 55.50 deg, I = 165, hkl 2 2 8
- 40.18 deg, I = 158, hkl 2 0 6
- 46.26 deg, I = 158, hkl 0 0 8
- 37.62 deg, I = 152, hkl 3 2 1

This entry pairs a crystal structure of Ac2PdC2N6 with its computed powder X-ray diffraction pattern. Radiation: λ = 1.5418 Å (Cu Kα). Structure: a structure optimized by DFT (GGA-PBE).
Lines closer than 0.1° are merged.

Crystal structure
Lattice parameters (Å, degrees): 5.4427 5.4427 5.6614 90.00 90.00 120.00
Space group P-3 (No. 147)
Asymmetric unit:
Ac1 0.3333 0.6667 0.2983 (multiplicity 2)
Pd1 0.0000 0.0000 0.0000 (multiplicity 1)
C1 0.3333 0.6667 0.8015 (multiplicity 2)
N1 0.1469 0.3808 0.7773 (multiplicity 6)

Top 10 peaks for 2θ = 10–90°, by intensity:
- 24.58 deg, I = 1000, hkl 0 1 1
- 32.91 deg, I = 570, hkl 1 1 0
- 37.05 deg, I = 406, hkl 1 0 2
- 41.50 deg, I = 386, hkl 2 0 1
- 53.96 deg, I = 295, hkl 1 2 1
- 50.38 deg, I = 173, hkl 0 2 2
- 61.50 deg, I = 163, hkl 2 1 2
- 59.62 deg, I = 146, hkl 2 -1 3
- 58.77 deg, I = 114, hkl 3 0 0
- 18.83 deg, I = 112, hkl 1 0 0